1.
The following is a calculated XRD peak list of Nd3Sn3Ru. It was derived from a PBE-relaxed structure, using a wavelength of 1.5418 Å.
No peak broadening, texture or thermal motion is included.

Structural model:
```
data_Nd3Sn3Ru
_chemical_formula_sum 'Nd12 Sn12 Ru4'
_symmetry_space_group_name_H-M 'C 1 2/m 1'
_symmetry_Int_Tables_number 12
_symmetry_space_group_name_Hall '-C 2y'
_cell_length_a 11.516
_cell_length_b 4.546
_cell_length_c 15.396
_cell_angle_alpha 90.00
_cell_angle_beta 108.67
_cell_angle_gamma 90.00
loop_
_atom_site_label
_atom_site_type_symbol
_atom_site_fract_x
_atom_site_fract_y
_atom_site_fract_z
Nd1 Nd 0.020 0.000 0.382
Nd2 Nd 0.102 0.000 0.921
Nd3 Nd 0.239 0.000 0.242
Sn1 Sn 0.027 0.500 0.236
Sn2 Sn 0.121 0.500 0.076
Sn3 Sn 0.153 0.500 0.535
Ru1 Ru 0.243 0.500 0.384
```

Largest 10 diffraction maxima, by intensity, 10° ≤ 2θ ≤ 90°:
- 2θ 30.47, I = 100
- 2θ 36.72, I = 58
- 2θ 29.79, I = 51
- 2θ 39.65, I = 45
- 2θ 31.11, I = 32
- 2θ 34.85, I = 28
- 2θ 59.78, I = 24
- 2θ 36.98, I = 19
- 2θ 37.23, I = 18
- 2θ 38.31, I = 18

2.
The following is a calculated XRD peak list of Ac2Nd4Er5. It was derived from a PBE-relaxed structure, using a wavelength of 1.5418 Å.
No peak broadening, texture or thermal motion is included.

Structural model:
```
data_Ac2Nd4Er5
_chemical_formula_sum 'Ac2 Nd4 Er5'
_symmetry_space_group_name_H-M 'P -1'
_symmetry_Int_Tables_number 2
_symmetry_space_group_name_Hall '-P 1'
_cell_length_a 3.671
_cell_length_b 8.676
_cell_length_c 12.256
_cell_angle_alpha 92.24
_cell_angle_beta 90.04
_cell_angle_gamma 90.00
loop_
_atom_site_label
_atom_site_type_symbol
_atom_site_fract_x
_atom_site_fract_y
_atom_site_fract_z
Ac1 Ac 0.001 0.268 0.331
Nd1 Nd 0.000 0.206 0.025
Nd2 Nd 0.001 0.681 0.374
Er1 Er 0.499 0.063 0.793
Er2 Er 0.499 0.466 0.860
Er3 Er 0.500 0.000 0.500
```

Largest 10 diffraction maxima, by intensity, 10° ≤ 2θ ≤ 90°:
- 2θ 30.63, I = 100
- 2θ 31.95, I = 78
- 2θ 32.81, I = 76
- 2θ 31.53, I = 40
- 2θ 27.26, I = 38
- 2θ 59.12, I = 36
- 2θ 49.22, I = 32
- 2θ 59.50, I = 31
- 2θ 29.46, I = 17
- 2θ 56.45, I = 17

3.
The following is a calculated XRD peak list of Tc2MoOs. It was derived from a PBE-relaxed structure, using a wavelength of 1.5418 Å.
No peak broadening, texture or thermal motion is included.

Structural model:
```
data_Tc2MoOs
_chemical_formula_sum 'Tc2 Mo1 Os1'
_symmetry_space_group_name_H-M 'P 4 m m'
_symmetry_Int_Tables_number 99
_symmetry_space_group_name_Hall 'P 4 -2'
_cell_length_a 3.197
_cell_length_b 3.197
_cell_length_c 5.939
_cell_angle_alpha 90.00
_cell_angle_beta 90.00
_cell_angle_gamma 90.00
loop_
_atom_site_label
_atom_site_type_symbol
_atom_site_fract_x
_atom_site_fract_y
_atom_site_fract_z
Tc1 Tc 0.000 0.000 0.000
Tc2 Tc 0.500 0.500 0.192
Mo1 Mo 0.000 0.000 0.476
Os1 Os 0.500 0.500 0.712
```

Largest 10 diffraction maxima, by intensity, 10° ≤ 2θ ≤ 90°:
- 2θ 41.51, I = 100
- 2θ 39.88, I = 59
- 2θ 73.53, I = 36
- 2θ 57.67, I = 20
- 2θ 76.82, I = 14
- 2θ 31.79, I = 10
- 2θ 14.92, I = 7
- 2θ 86.02, I = 7
- 2θ 62.57, I = 6
- 2θ 27.91, I = 5